Simulated powder X-ray diffraction pattern
Compound: BaCoBP2HO9
Radiation: CuKα
Structure: a GGA+U-relaxed structure
No peak broadening, texture or thermal motion is included.

Structure:
```
data_BaCoBP2HO9
_cell_length_a 5.2808
_cell_length_b 7.9639
_cell_length_c 8.2527
_cell_angle_alpha 88.35
_cell_angle_beta 79.40
_cell_angle_gamma 87.13
_symmetry_space_group_name_H-M 'P -1'
_symmetry_Int_Tables_number 2
_symmetry_space_group_name_Hall '-P 1'
loop_
_atom_site_label
_atom_site_type_symbol
_atom_site_fract_x
_atom_site_fract_y
_atom_site_fract_z
Ba1 Ba 0.2226 0.3109 0.1188
Co1 Co 0.2276 0.7987 0.1976
B1 B 0.3889 0.7493 0.5469
P1 P 0.2741 0.9433 0.8178
P2 P 0.2996 0.4319 0.6991
H1 H 0.2308 0.9554 0.4497
O1 O 0.0070 0.9841 0.7746
O2 O 0.0504 0.3810 0.8104
O3 O 0.2255 0.8335 0.4429
O4 O 0.2318 0.6158 0.6399
O5 O 0.2530 0.7943 0.9444
O6 O 0.3631 0.3220 0.5427
O7 O 0.4066 0.0929 0.8670
O8 O 0.4661 0.8695 0.6595
O9 O 0.4755 0.5709 0.2067
```

Peak list (6 most intense, 10 to 90 degrees two-theta, low angle first)
two_theta, intensity
10.9, 100
25.3, 46
28.4, 55
28.9, 47
32.0, 41
34.8, 44